Starting from DFT lattice parameters and positions (PBE), the powder X-ray diffraction pattern of Ce6Lu was calculated for Cu Kα.
No peak broadening, texture or thermal motion is included.

Cell and atoms:
Lattice parameters (Å, degrees): 7.584 7.584 7.584 90.00 90.00 90.00
Space group Im-3m (No. 229)
One atom of each set of equivalent atoms:
Ce 0.000 0.250 0.500 x12
Lu 0.000 0.000 0.000 x2

Main lines, in order of rising 2θ (10° ≤ 2θ ≤ 90°):
d [Å]  Rel. int.  hkl
3.792  42  2 0 0
3.096  100  2 1 1
2.189  27  2 2 2
2.027  61  3 2 1
1.896  31  4 0 0
1.696  17  4 2 0
1.617  15  3 3 2
1.385  18  5 2 1
1.341  20  4 4 0
1.230  18  6 1 1